(1)
For La12AlSi5, DFT lattice parameters and positions (PBE) gives the simulated XRD peak list in this record (a wavelength of 1.5418 Å).

Cell and atoms:
abc: 8.8894 8.8894 8.8894
angles: 112.11 109.50 106.84
Positions (direct):
La (0.0421, 0.2408, 0.8013)
La (0.1783, 0.2657, 0.4440)
La (0.1783, 0.7343, 0.9125)
La (0.3223, 0.0328, 0.7105)
La (0.3223, 0.6117, 0.2895)
La (0.4396, 0.2408, 0.1987)
La (0.5604, 0.7592, 0.8013)
La (0.6777, 0.3883, 0.7105)
La (0.6777, 0.9672, 0.2895)
La (0.8217, 0.2657, 0.0875)
La (0.8217, 0.7343, 0.5560)
La (0.9579, 0.7592, 0.1987)
Al (0.5000, 0.5000, 0.0000)
Si (0.0000, 0.0000, 0.0000)
Si (0.1123, 0.6123, 0.5000)
Si (0.3786, 0.0000, 0.3786)
Si (0.6214, 0.0000, 0.6214)
Si (0.8877, 0.3877, 0.5000)

The 10 most intense peaks (2θ = 10–90°), in order of falling intensity:
| 2θ/deg | d_spacing | I/Imax |
| --- | --- | --- |
| 30.20 | 2.959 | 100 |
| 32.31 | 2.771 | 42 |
| 32.91 | 2.722 | 39 |
| 36.19 | 2.482 | 31 |
| 32.44 | 2.760 | 29 |
| 24.58 | 3.622 | 28 |
| 26.70 | 3.338 | 26 |
| 27.40 | 3.255 | 26 |
| 53.64 | 1.709 | 17 |
| 38.24 | 2.354 | 17 |

=====

(2)
For LaAlSi, DFT lattice parameters and positions (PBE) gives the simulated XRD peak list in this record (a wavelength of 1.5418 Å).

Cell and atoms:
abc: 7.9712 7.9712 7.9712
angles: 148.57 148.57 45.05
Positions (direct):
La (0.0000, 0.0000, 0.0000)
La (0.7500, 0.2500, 0.5000)
Al (0.1642, 0.6642, 0.5000)
Al (0.3358, 0.8358, 0.5000)
Si (0.4195, 0.4195, 0.0000)
Si (0.5805, 0.5805, 0.0000)

The 10 most intense peaks (2θ = 10–90°), in order of falling intensity:
| 2θ/deg | d_spacing | I/Imax |
| --- | --- | --- |
| 31.72 | 2.821 | 100 |
| 27.51 | 3.242 | 50 |
| 36.94 | 2.433 | 41 |
| 21.44 | 4.144 | 36 |
| 41.84 | 2.159 | 32 |
| 57.03 | 1.615 | 23 |
| 24.17 | 3.682 | 22 |
| 70.08 | 1.343 | 20 |
| 48.11 | 1.891 | 19 |
| 50.80 | 1.797 | 18 |

=====

(3)
For La3Al4Si2, DFT lattice parameters and positions (PBE) gives the simulated XRD peak list in this record (a wavelength of 1.5418 Å).

Cell and atoms:
abc: 6.1754 6.1754 8.6890
angles: 99.15 99.15 40.84
Positions (direct):
La (0.0000, 0.0000, 0.0000)
La (0.3321, 0.3321, 0.3364)
La (0.6679, 0.6679, 0.6636)
Al (0.0518, 0.0518, 0.3824)
Al (0.2751, 0.2751, 0.9379)
Al (0.7249, 0.7249, 0.0621)
Al (0.9482, 0.9482, 0.6176)
Si (0.3885, 0.3885, 0.7217)
Si (0.6115, 0.6115, 0.2783)

The 10 most intense peaks (2θ = 10–90°), in order of falling intensity:
| 2θ/deg | d_spacing | I/Imax |
| --- | --- | --- |
| 31.36 | 2.852 | 100 |
| 23.81 | 3.737 | 44 |
| 41.87 | 2.158 | 31 |
| 53.26 | 1.720 | 15 |
| 59.93 | 1.543 | 14 |
| 47.87 | 1.900 | 14 |
| 69.87 | 1.346 | 13 |
| 20.12 | 4.414 | 11 |
| 40.89 | 2.207 | 11 |
| 68.55 | 1.369 | 10 |

=====

(4)
For La5AlSi2, DFT lattice parameters and positions (PBE) gives the simulated XRD peak list in this record (a wavelength of 1.5418 Å).

Cell and atoms:
abc: 9.1621 9.1621 9.1621
angles: 127.88 127.88 76.81
Positions (direct):
La (0.0000, 0.0000, 0.0000)
La (0.0365, 0.5365, 0.8596)
La (0.1769, 0.0365, 0.5000)
La (0.3231, 0.8231, 0.8596)
La (0.4635, 0.3231, 0.5000)
La (0.5000, 0.5000, 0.0000)
La (0.5365, 0.6769, 0.5000)
La (0.6769, 0.1769, 0.1404)
La (0.8231, 0.9635, 0.5000)
La (0.9635, 0.4635, 0.1404)
Al (0.2500, 0.2500, 0.0000)
Al (0.7500, 0.7500, 0.0000)
Si (0.1118, 0.3882, 0.5000)
Si (0.3882, 0.8882, 0.2765)
Si (0.6118, 0.1118, 0.7235)
Si (0.8882, 0.6118, 0.5000)

The 10 most intense peaks (2θ = 10–90°), in order of falling intensity:
| 2θ/deg | d_spacing | I/Imax |
| --- | --- | --- |
| 31.09 | 2.877 | 100 |
| 33.45 | 2.679 | 66 |
| 25.51 | 3.492 | 45 |
| 35.26 | 2.545 | 41 |
| 50.49 | 1.808 | 32 |
| 54.72 | 1.677 | 26 |
| 31.43 | 2.846 | 25 |
| 25.37 | 3.511 | 23 |
| 46.97 | 1.935 | 22 |
| 51.26 | 1.782 | 20 |